Starting from the GGA+U geometry in Alexandria, the powder X-ray diffraction pattern of Li5VP4O14 was computed for Cu Kα.
No peak broadening, texture or thermal motion is included.

Cell: 7.028 8.890 9.060 Å, 77.11 76.39 70.88°
Positions (direct):
Li  0.029  0.034  0.126
Li  0.236  0.268  0.862
Li  0.238  0.738  0.609
Li  0.293  0.672  0.279
Li  0.354  0.939  0.319
Li  0.646  0.061  0.681
Li  0.707  0.328  0.721
Li  0.762  0.262  0.391
Li  0.764  0.732  0.138
Li  0.971  0.966  0.874
V  0.125  0.376  0.237
V  0.875  0.624  0.763
P  0.121  0.117  0.568
P  0.181  0.617  0.981
P  0.311  0.382  0.549
P  0.426  0.837  0.951
P  0.574  0.163  0.049
P  0.689  0.618  0.451
P  0.819  0.383  0.019
P  0.879  0.883  0.432
O  0.046  0.725  0.863
O  0.060  0.212  0.413
O  0.074  0.885  0.314
O  0.088  0.641  0.149
O  0.184  0.502  0.661
O  0.224  0.436  0.988
O  0.227  0.972  0.930
O  0.237  0.221  0.623
O  0.271  0.438  0.383
O  0.273  0.954  0.551
O  0.388  0.159  0.179
O  0.388  0.667  0.932
O  0.464  0.672  0.436
O  0.467  0.812  0.115
O  0.533  0.188  0.885
O  0.536  0.328  0.564
O  0.612  0.333  0.068
O  0.612  0.841  0.821
O  0.727  0.046  0.449
O  0.729  0.562  0.617
O  0.763  0.779  0.377
O  0.773  0.028  0.070
O  0.776  0.564  0.012
O  0.816  0.498  0.339
O  0.912  0.359  0.851
O  0.926  0.115  0.686
O  0.940  0.788  0.587
O  0.954  0.275  0.137

Main lines, low angle first (2θ from 5° to 70°):
- (0 1 0), d = 8.293 Å, 10.67°, intensity 29
- (1 0 0), d = 6.538 Å, 13.54°, intensity 27
- (0 0 2), d = 4.347 Å, 20.43°, intensity 23
- (1 -1 1), d = 4.079 Å, 21.79°, intensity 35
- (-1 1 1), d = 3.961 Å, 22.44°, intensity 100
- (2 2 2), d = 2.894 Å, 30.90°, intensity 44